# 1
Simulated XRD peak list
Compound: FeHO2
Radiation: Cu Kα (weighted mean of Kα1 and Kα2)
Structure: a crystal structure in the Materials Project, relaxed with GGA+U
Peak positions follow from Bragg's law for the DFT cell and can differ from measured ones.

Cell and atoms:
```
FeHO2
1.0
-5.017 5.017 1.502
5.017 -5.017 1.502
5.017 5.017 -1.502
Fe H O
4 4 8
direct
0.079 0.095 0.699
0.395 0.380 0.301
0.620 0.921 0.015
0.905 0.605 0.985
0.249 0.516 0.520
0.272 0.751 0.267
0.484 0.005 0.733
0.995 0.728 0.480
0.015 0.876 0.455
0.090 0.298 0.876
0.124 0.579 0.139
0.421 0.560 0.545
0.423 0.214 0.124
0.440 0.985 0.861
0.702 0.577 0.792
0.786 0.910 0.208
```

Main lines, by intensity (5° ≤ 2θ ≤ 70°):
| two_theta | I/Imax |
| --- | --- |
| 12.47 | 1000 |
| 35.98 | 637 |
| 17.68 | 494 |
| 28.12 | 473 |
| 58.27 | 387 |
| 35.79 | 301 |
| 48.12 | 204 |
| 67.40 | 171 |
| 40.36 | 158 |
| 54.90 | 118 |


# 2
Simulated XRD peak list
Compound: FeP2HO7
Radiation: Cu Kα (weighted mean of Kα1 and Kα2)
Structure: a crystal structure in the Materials Project, relaxed with GGA+U
Peak positions follow from Bragg's law for the DFT cell and can differ from measured ones.

Cell and atoms:
```
FeP2HO7
1.0
7.447 0.000 0.000
0.000 8.424 0.000
-5.636 0.000 8.221
Fe P H O
4 8 4 28
direct
0.042 0.198 0.021
0.042 0.302 0.521
0.958 0.698 0.479
0.958 0.802 0.979
0.059 0.510 0.236
0.059 0.990 0.736
0.427 0.716 0.304
0.427 0.784 0.804
0.573 0.216 0.196
0.573 0.284 0.696
0.941 0.010 0.264
0.941 0.490 0.764
0.384 0.128 0.488
0.384 0.372 0.988
0.616 0.628 0.012
0.616 0.872 0.512
0.008 0.504 0.367
0.008 0.996 0.867
0.062 0.158 0.682
0.062 0.342 0.182
0.090 0.123 0.404
0.090 0.377 0.904
0.273 0.725 0.631
0.273 0.775 0.131
0.306 0.573 0.330
0.306 0.927 0.830
0.357 0.152 0.154
0.357 0.348 0.654
0.461 0.653 0.929
0.461 0.847 0.429
0.539 0.153 0.571
0.539 0.347 0.071
0.643 0.652 0.346
0.643 0.848 0.846
0.694 0.073 0.170
0.694 0.427 0.670
0.727 0.225 0.869
0.727 0.275 0.369
0.910 0.623 0.096
0.910 0.877 0.596
0.938 0.658 0.818
0.938 0.842 0.318
0.992 0.004 0.133
0.992 0.496 0.633
```

Main lines, by intensity (5° ≤ 2θ ≤ 70°):
| two_theta | I/Imax |
| --- | --- |
| 27.83 | 1000 |
| 14.42 | 987 |
| 29.11 | 814 |
| 42.34 | 380 |
| 20.83 | 378 |
| 30.99 | 353 |
| 24.09 | 280 |
| 21.09 | 226 |
| 17.94 | 214 |
| 30.38 | 212 |


# 3
Simulated XRD peak list
Compound: Fe4P3H3O15
Radiation: Cu Kα (weighted mean of Kα1 and Kα2)
Structure: a crystal structure in the Materials Project, relaxed with GGA+U
Peak positions follow from Bragg's law for the DFT cell and can differ from measured ones.

Cell and atoms:
```
Fe4P3H3O15
1.0
9.939 -3.752 0.000
9.939 3.752 0.000
-1.633 0.000 7.386
Fe P H O
8 6 6 30
direct
0.148 0.700 0.844
0.300 0.852 0.656
0.320 0.342 0.148
0.342 0.320 0.648
0.658 0.680 0.352
0.680 0.658 0.852
0.700 0.148 0.344
0.852 0.300 0.156
0.033 0.305 0.587
0.305 0.033 0.087
0.387 0.613 0.250
0.613 0.387 0.750
0.695 0.967 0.913
0.967 0.695 0.413
0.008 0.992 0.250
0.088 0.505 0.876
0.495 0.912 0.624
0.505 0.088 0.376
0.912 0.495 0.124
0.992 0.008 0.750
0.074 0.554 0.247
0.111 0.115 0.605
0.112 0.604 0.585
0.115 0.111 0.105
0.122 0.878 0.750
0.197 0.271 0.564
0.209 0.464 0.901
0.247 0.713 0.083
0.271 0.197 0.064
0.287 0.753 0.417
0.396 0.888 0.915
0.428 0.447 0.760
0.446 0.926 0.253
0.447 0.428 0.260
0.464 0.209 0.401
0.536 0.791 0.599
0.553 0.572 0.740
0.554 0.074 0.747
0.572 0.553 0.240
0.604 0.112 0.085
0.713 0.247 0.583
0.729 0.803 0.936
0.753 0.287 0.917
0.791 0.536 0.099
0.803 0.729 0.436
0.878 0.122 0.250
0.885 0.889 0.895
0.888 0.396 0.415
0.889 0.885 0.395
0.926 0.446 0.753
```

Main lines, by intensity (5° ≤ 2θ ≤ 70°):
| two_theta | I/Imax |
| --- | --- |
| 26.37 | 1000 |
| 56.38 | 226 |
| 27.61 | 207 |
| 27.34 | 206 |
| 12.65 | 135 |
| 25.45 | 131 |
| 54.23 | 125 |
| 43.71 | 114 |
| 33.89 | 110 |
| 34.00 | 110 |


# 4
Simulated XRD peak list
Compound: FeP2H8O10
Radiation: Cu Kα (weighted mean of Kα1 and Kα2)
Structure: a crystal structure in the Materials Project, relaxed with GGA+U
Peak positions follow from Bragg's law for the DFT cell and can differ from measured ones.

Cell and atoms:
```
FeP2H8O10
1.0
5.405 0.000 0.000
0.000 10.097 0.000
-4.893 0.000 7.268
Fe P H O
2 4 16 20
direct
0.000 0.000 0.000
0.000 0.500 0.500
0.092 0.217 0.338
0.092 0.283 0.838
0.908 0.717 0.162
0.908 0.783 0.662
0.118 0.723 0.009
0.118 0.777 0.509
0.403 0.079 0.829
0.403 0.421 0.329
0.408 0.546 0.226
0.408 0.954 0.726
0.441 0.107 0.592
0.441 0.393 0.092
0.559 0.607 0.908
0.559 0.893 0.408
0.592 0.046 0.274
0.592 0.454 0.774
0.597 0.579 0.671
0.597 0.921 0.171
0.882 0.223 0.491
0.882 0.277 0.991
0.021 0.674 0.358
0.021 0.826 0.858
0.143 0.134 0.872
0.143 0.366 0.372
0.144 0.670 0.118
0.144 0.830 0.618
0.391 0.138 0.468
0.391 0.362 0.968
0.479 0.537 0.715
0.479 0.963 0.215
0.521 0.037 0.785
0.521 0.463 0.285
0.609 0.638 0.032
0.609 0.862 0.532
0.856 0.170 0.382
0.856 0.330 0.882
0.857 0.634 0.628
0.857 0.866 0.128
0.979 0.174 0.142
0.979 0.326 0.642
```

Main lines, by intensity (5° ≤ 2θ ≤ 70°):
| two_theta | I/Imax |
| --- | --- |
| 27.66 | 1000 |
| 19.80 | 921 |
| 26.06 | 561 |
| 15.02 | 550 |
| 18.66 | 535 |
| 29.24 | 454 |
| 30.00 | 341 |
| 37.73 | 246 |
| 26.59 | 190 |
| 45.53 | 183 |